# 1
# Sr2HBr2
Computed powder XRD pattern, Cu Kα (weighted mean of Kα1 and Kα2). Input: a DFT-relaxed cell (PBE, the Materials Project).
Peak positions follow from Bragg's law for the DFT cell and can differ from measured ones.

Structural model:
```
data_Sr2HBr2
_cell_length_a 5.363
_cell_length_b 5.363
_cell_length_c 15.607
_cell_angle_alpha 90.00
_cell_angle_beta 90.00
_cell_angle_gamma 90.00
_space_group_name_H-M_alt 'P 1'
_space_group_IT_number 1
loop_
_space_group_symop_operation_xyz
'x,y,z'
loop_
_atom_site_label
_atom_site_type_symbol
_atom_site_fract_x
_atom_site_fract_y
_atom_site_fract_z
_atom_site_occupancy
Sr1 Sr 0.000 0.000 0.147 1
Sr2 Sr 0.000 0.000 0.853 1
H1 H 0.000 0.000 0.000 1
Br1 Br 0.000 0.000 0.320 1
Br2 Br 0.000 0.000 0.680 1
```

Main lines, sorted by position (2θ from 10° to 90°):
- 2θ 11.34, d = 7.803 Å, I 22.1
- 2θ 16.53, d = 5.363 Å, I 100.0
- 2θ 20.09, d = 4.420 Å, I 24.4
- 2θ 23.46, d = 3.792 Å, I 43.5
- 2θ 26.13, d = 3.411 Å, I 12.8
- 2θ 28.29, d = 3.155 Å, I 15.1
- 2θ 33.42, d = 2.681 Å, I 17.3
- 2θ 37.50, d = 2.398 Å, I 25.1
- 2θ 38.46, d = 2.340 Å, I 15.2
- 2θ 51.85, d = 1.763 Å, I 12.6


# 2
# ZrHBr
Computed powder XRD pattern, Cu Kα (weighted mean of Kα1 and Kα2). Input: a DFT-relaxed cell (PBE, the Materials Project).
Peak positions follow from Bragg's law for the DFT cell and can differ from measured ones.

Structural model:
```
data_ZrHBr
_cell_length_a 3.451
_cell_length_b 3.451
_cell_length_c 10.228
_cell_angle_alpha 90.00
_cell_angle_beta 90.00
_cell_angle_gamma 120.00
_space_group_name_H-M_alt 'P 1'
_space_group_IT_number 1
loop_
_space_group_symop_operation_xyz
'x,y,z'
loop_
_atom_site_label
_atom_site_type_symbol
_atom_site_fract_x
_atom_site_fract_y
_atom_site_fract_z
_atom_site_occupancy
Zr1 Zr 0.333 0.667 0.144 1
Zr2 Zr 0.667 0.333 0.856 1
H1 H 0.333 0.667 0.942 1
H2 H 0.667 0.333 0.058 1
Br1 Br 0.333 0.667 0.669 1
Br2 Br 0.667 0.333 0.331 1
```

Main lines, sorted by position (2θ from 10° to 90°):
- 2θ 17.34, d = 5.114 Å, I 19.5
- 2θ 29.90, d = 2.989 Å, I 29.4
- 2θ 34.77, d = 2.580 Å, I 100.0
- 2θ 35.09, d = 2.557 Å, I 11.6
- 2θ 46.75, d = 1.943 Å, I 29.3
- 2θ 53.08, d = 1.725 Å, I 22.3
- 2θ 65.02, d = 1.434 Å, I 15.5
- 2θ 65.23, d = 1.430 Å, I 10.9
- 2θ 78.94, d = 1.213 Å, I 9.0
- 2θ 88.68, d = 1.103 Å, I 13.7


# 3
# HfBr4
Computed powder XRD pattern, Cu Kα (weighted mean of Kα1 and Kα2). Input: a DFT-relaxed cell (PBE, the Materials Project).
Peak positions follow from Bragg's law for the DFT cell and can differ from measured ones.

Structural model:
```
data_HfBr4
_cell_length_a 12.525
_cell_length_b 12.525
_cell_length_c 12.525
_cell_angle_alpha 90.00
_cell_angle_beta 90.00
_cell_angle_gamma 90.00
_space_group_name_H-M_alt 'P 1'
_space_group_IT_number 1
loop_
_space_group_symop_operation_xyz
'x,y,z'
loop_
_atom_site_label
_atom_site_type_symbol
_atom_site_fract_x
_atom_site_fract_y
_atom_site_fract_z
_atom_site_occupancy
Hf1 Hf 0.127 0.127 0.127 1
Hf2 Hf 0.127 0.373 0.627 1
Hf3 Hf 0.373 0.627 0.127 1
Hf4 Hf 0.373 0.873 0.627 1
Hf5 Hf 0.627 0.127 0.373 1
Hf6 Hf 0.627 0.373 0.873 1
Hf7 Hf 0.873 0.627 0.373 1
Hf8 Hf 0.873 0.873 0.873 1
Br1 Br 0.012 0.240 0.014 1
Br2 Br 0.012 0.260 0.514 1
Br3 Br 0.014 0.012 0.240 1
Br4 Br 0.014 0.488 0.740 1
Br5 Br 0.240 0.014 0.012 1
Br6 Br 0.240 0.240 0.240 1
Br7 Br 0.240 0.260 0.740 1
Br8 Br 0.240 0.486 0.512 1
Br9 Br 0.260 0.514 0.012 1
Br10 Br 0.260 0.740 0.240 1
Br11 Br 0.260 0.760 0.740 1
Br12 Br 0.260 0.986 0.512 1
Br13 Br 0.486 0.512 0.240 1
Br14 Br 0.486 0.988 0.740 1
Br15 Br 0.488 0.740 0.014 1
Br16 Br 0.488 0.760 0.514 1
Br17 Br 0.512 0.240 0.486 1
Br18 Br 0.512 0.260 0.986 1
Br19 Br 0.514 0.012 0.260 1
Br20 Br 0.514 0.488 0.760 1
Br21 Br 0.740 0.014 0.488 1
Br22 Br 0.740 0.240 0.260 1
Br23 Br 0.740 0.260 0.760 1
Br24 Br 0.740 0.486 0.988 1
Br25 Br 0.760 0.514 0.488 1
Br26 Br 0.760 0.740 0.260 1
Br27 Br 0.760 0.760 0.760 1
Br28 Br 0.760 0.986 0.988 1
Br29 Br 0.986 0.512 0.260 1
Br30 Br 0.986 0.988 0.760 1
Br31 Br 0.988 0.740 0.486 1
Br32 Br 0.988 0.760 0.986 1
```

Main lines, sorted by position (2θ from 10° to 90°):
- 2θ 12.24, d = 7.231 Å, I 27.4
- 2θ 15.82, d = 5.601 Å, I 91.6
- 2θ 17.34, d = 5.113 Å, I 71.2
- 2θ 24.62, d = 3.616 Å, I 100.0
- 2θ 26.63, d = 3.347 Å, I 26.7
- 2θ 38.72, d = 2.326 Å, I 23.4
- 2θ 40.75, d = 2.214 Å, I 86.3
- 2θ 48.20, d = 1.888 Å, I 38.8
- 2θ 48.78, d = 1.867 Å, I 18.4
- 2θ 74.18, d = 1.278 Å, I 23.4


# 4
# HfBrN
Computed powder XRD pattern, Cu Kα (weighted mean of Kα1 and Kα2). Input: a DFT-relaxed cell (PBE, the Materials Project).
Peak positions follow from Bragg's law for the DFT cell and can differ from measured ones.

Structural model:
```
data_HfBrN
_cell_length_a 10.506
_cell_length_b 10.506
_cell_length_c 10.506
_cell_angle_alpha 19.92
_cell_angle_beta 19.92
_cell_angle_gamma 19.92
_space_group_name_H-M_alt 'P 1'
_space_group_IT_number 1
loop_
_space_group_symop_operation_xyz
'x,y,z'
loop_
_atom_site_label
_atom_site_type_symbol
_atom_site_fract_x
_atom_site_fract_y
_atom_site_fract_z
_atom_site_occupancy
Hf1 Hf 0.208 0.208 0.208 1
Hf2 Hf 0.792 0.792 0.792 1
Br1 Br 0.394 0.394 0.394 1
Br2 Br 0.606 0.606 0.606 1
N1 N 0.139 0.139 0.139 1
N2 N 0.861 0.861 0.861 1
```

Main lines, sorted by position (2θ from 10° to 90°):
- 2θ 28.96, d = 3.083 Å, I 39.0
- 2θ 31.92, d = 2.804 Å, I 100.0
- 2θ 34.86, d = 2.574 Å, I 16.6
- 2θ 35.02, d = 2.562 Å, I 30.2
- 2θ 40.94, d = 2.204 Å, I 40.1
- 2θ 50.22, d = 1.817 Å, I 33.8
- 2θ 60.74, d = 1.525 Å, I 16.0
- 2θ 62.58, d = 1.484 Å, I 18.2
- 2θ 68.93, d = 1.362 Å, I 14.5
- 2θ 82.61, d = 1.168 Å, I 13.6


# 5
# HfBrN
Computed powder XRD pattern, Cu Kα (weighted mean of Kα1 and Kα2). Input: a DFT-relaxed cell (PBE, the Materials Project).
Peak positions follow from Bragg's law for the DFT cell and can differ from measured ones.

Structural model:
```
data_HfBrN
_cell_length_a 3.582
_cell_length_b 4.122
_cell_length_c 9.053
_cell_angle_alpha 90.00
_cell_angle_beta 90.00
_cell_angle_gamma 90.00
_space_group_name_H-M_alt 'P 1'
_space_group_IT_number 1
loop_
_space_group_symop_operation_xyz
'x,y,z'
loop_
_atom_site_label
_atom_site_type_symbol
_atom_site_fract_x
_atom_site_fract_y
_atom_site_fract_z
_atom_site_occupancy
Hf1 Hf 0.250 0.250 0.095 1
Hf2 Hf 0.750 0.750 0.905 1
Br1 Br 0.250 0.750 0.673 1
Br2 Br 0.750 0.250 0.327 1
N1 N 0.250 0.750 0.033 1
N2 N 0.750 0.250 0.967 1
```

Main lines, sorted by position (2θ from 10° to 90°):
- 2θ 23.72, d = 3.751 Å, I 100.0
- 2θ 31.86, d = 2.809 Å, I 92.3
- 2θ 34.62, d = 2.591 Å, I 76.0
- 2θ 36.92, d = 2.435 Å, I 26.0
- 2θ 39.03, d = 2.308 Å, I 34.1
- 2θ 43.93, d = 2.061 Å, I 24.8
- 2θ 45.05, d = 2.012 Å, I 30.6
- 2θ 45.73, d = 1.984 Å, I 21.1
- 2θ 55.28, d = 1.662 Å, I 38.3
- 2θ 56.98, d = 1.616 Å, I 20.8


# 6
# RbHf2Br9
Computed powder XRD pattern, Cu Kα (weighted mean of Kα1 and Kα2). Input: a DFT-relaxed cell (PBE, the Materials Project).
Peak positions follow from Bragg's law for the DFT cell and can differ from measured ones.

Structural model:
```
data_RbHf2Br9
_cell_length_a 10.318
_cell_length_b 7.034
_cell_length_c 13.374
_cell_angle_alpha 90.00
_cell_angle_beta 113.86
_cell_angle_gamma 90.00
_space_group_name_H-M_alt 'P 1'
_space_group_IT_number 1
loop_
_space_group_symop_operation_xyz
'x,y,z'
loop_
_atom_site_label
_atom_site_type_symbol
_atom_site_fract_x
_atom_site_fract_y
_atom_site_fract_z
_atom_site_occupancy
Rb1 Rb 0.000 0.090 0.250 1
Rb2 Rb 0.000 0.910 0.750 1
Hf1 Hf 0.324 0.241 0.633 1
Hf2 Hf 0.324 0.759 0.133 1
Hf3 Hf 0.676 0.241 0.867 1
Hf4 Hf 0.676 0.759 0.367 1
Br1 Br 0.114 0.387 0.657 1
Br2 Br 0.114 0.613 0.157 1
Br3 Br 0.205 0.074 0.059 1
Br4 Br 0.205 0.926 0.559 1
Br5 Br 0.290 0.391 0.455 1
Br6 Br 0.290 0.609 0.955 1
Br7 Br 0.418 0.093 0.843 1
Br8 Br 0.418 0.907 0.343 1
Br9 Br 0.500 0.473 0.250 1
Br10 Br 0.500 0.527 0.750 1
Br11 Br 0.582 0.093 0.657 1
Br12 Br 0.582 0.907 0.157 1
Br13 Br 0.710 0.391 0.045 1
Br14 Br 0.710 0.609 0.545 1
Br15 Br 0.795 0.074 0.441 1
Br16 Br 0.795 0.926 0.941 1
Br17 Br 0.886 0.387 0.843 1
Br18 Br 0.886 0.613 0.343 1
```

Main lines, sorted by position (2θ from 10° to 90°):
- 2θ 13.70, d = 6.462 Å, I 43.8
- 2θ 14.53, d = 6.098 Å, I 53.0
- 2θ 15.63, d = 5.669 Å, I 74.0
- 2θ 29.05, d = 3.073 Å, I 100.0
- 2θ 29.68, d = 3.010 Å, I 46.6
- 2θ 38.02, d = 2.367 Å, I 26.1
- 2θ 38.24, d = 2.353 Å, I 19.8
- 2θ 39.00, d = 2.310 Å, I 33.4
- 2θ 44.86, d = 2.021 Å, I 35.7
- 2θ 45.54, d = 1.992 Å, I 18.7


# 7
# HgBr2
Computed powder XRD pattern, Cu Kα (weighted mean of Kα1 and Kα2). Input: a DFT-relaxed cell (PBE, the Materials Project).
Peak positions follow from Bragg's law for the DFT cell and can differ from measured ones.

Structural model:
```
data_HgBr2
_cell_length_a 5.025
_cell_length_b 7.000
_cell_length_c 13.088
_cell_angle_alpha 90.00
_cell_angle_beta 90.00
_cell_angle_gamma 90.00
_space_group_name_H-M_alt 'P 1'
_space_group_IT_number 1
loop_
_space_group_symop_operation_xyz
'x,y,z'
loop_
_atom_site_label
_atom_site_type_symbol
_atom_site_fract_x
_atom_site_fract_y
_atom_site_fract_z
_atom_site_occupancy
Hg1 Hg 0.000 0.166 0.000 1
Hg2 Hg 0.000 0.834 0.500 1
Hg3 Hg 0.500 0.334 0.500 1
Hg4 Hg 0.500 0.666 0.000 1
Br1 Br 0.000 0.100 0.626 1
Br2 Br 0.000 0.432 0.874 1
Br3 Br 0.000 0.568 0.374 1
Br4 Br 0.000 0.900 0.126 1
Br5 Br 0.500 0.068 0.374 1
Br6 Br 0.500 0.400 0.126 1
Br7 Br 0.500 0.600 0.626 1
Br8 Br 0.500 0.932 0.874 1
```

Main lines, sorted by position (2θ from 10° to 90°):
- 2θ 13.53, d = 6.544 Å, I 100.0
- 2θ 22.82, d = 3.897 Å, I 94.7
- 2θ 25.72, d = 3.464 Å, I 73.1
- 2θ 29.98, d = 2.981 Å, I 59.9
- 2θ 32.81, d = 2.730 Å, I 48.4
- 2θ 35.73, d = 2.513 Å, I 34.0
- 2θ 40.96, d = 2.204 Å, I 26.3
- 2θ 45.01, d = 2.014 Å, I 25.1
- 2θ 49.28, d = 1.849 Å, I 33.1
- 2θ 52.82, d = 1.733 Å, I 22.5


# 8
# HgBr3
Computed powder XRD pattern, Cu Kα (weighted mean of Kα1 and Kα2). Input: a DFT-relaxed cell (PBE, the Materials Project).
Peak positions follow from Bragg's law for the DFT cell and can differ from measured ones.

Structural model:
```
data_HgBr3
_cell_length_a 8.945
_cell_length_b 8.945
_cell_length_c 3.843
_cell_angle_alpha 90.00
_cell_angle_beta 90.00
_cell_angle_gamma 120.00
_space_group_name_H-M_alt 'P 1'
_space_group_IT_number 1
loop_
_space_group_symop_operation_xyz
'x,y,z'
loop_
_atom_site_label
_atom_site_type_symbol
_atom_site_fract_x
_atom_site_fract_y
_atom_site_fract_z
_atom_site_occupancy
Hg1 Hg 0.333 0.667 0.250 1
Hg2 Hg 0.667 0.333 0.750 1
Br1 Br 0.197 0.393 0.750 1
Br2 Br 0.197 0.803 0.750 1
Br3 Br 0.393 0.197 0.250 1
Br4 Br 0.607 0.803 0.750 1
Br5 Br 0.803 0.197 0.250 1
Br6 Br 0.803 0.607 0.250 1
```

Main lines, sorted by position (2θ from 10° to 90°):
- 2θ 11.42, d = 7.747 Å, I 55.2
- 2θ 19.85, d = 4.473 Å, I 26.9
- 2θ 22.96, d = 3.873 Å, I 43.3
- 2θ 32.83, d = 2.728 Å, I 100.0
- 2θ 38.66, d = 2.329 Å, I 28.7
- 2θ 40.33, d = 2.236 Å, I 28.0
- 2θ 48.54, d = 1.875 Å, I 13.6
- 2θ 52.94, d = 1.729 Å, I 18.0
- 2θ 63.87, d = 1.457 Å, I 14.4
- 2θ 72.21, d = 1.308 Å, I 11.7